Entry 1:
Starting from a cell relaxed with GGA-PBE, the powder X-ray diffraction pattern of Li4HoAsO6 was computed for Cu Kα (λ = 1.5418 Å).
No peak broadening, texture or thermal motion is included.

a = 5.256 Å, b = 9.343 Å, c = 5.085 Å
α = 90.00°, β = 108.52°, γ = 90.00°
Space group C2 (No. 5)
Inequivalent atoms, fractional coordinates:
Li  0.000  0.000  0.000 (multiplicity 2)
Li  0.000  0.143  0.500 (multiplicity 2)
Li  0.000  0.334  0.000 (multiplicity 2)
Li  0.000  0.611  0.000 (multiplicity 2)
Ho  0.000  0.808  0.500 (multiplicity 2)
As  0.000  0.478  0.500 (multiplicity 2)
O  0.210  0.336  0.733 (multiplicity 4)
O  0.219  0.621  0.732 (multiplicity 4)
O  0.224  0.481  0.277 (multiplicity 4)

Peak list (8 most intense, 2θ from 10° to 90°, by angle)
2theta  d [Å]  I/Imax  h k l
18.4  4.822  100  0 0 1
19.0  4.671  26  0 2 0
20.2  4.397  50  1 1 0
23.2  3.827  37  1 1 -1
26.6  3.355  25  0 2 1
33.9  2.641  37  1 3 0
41.7  2.168  49  1 3 1
43.1  2.097  23  2 0 -2


Entry 2:
Starting from a cell relaxed with GGA-PBE, the powder X-ray diffraction pattern of GaMoI7 was computed for Cu Kα (λ = 1.5418 Å).
No peak broadening, texture or thermal motion is included.

a = 7.831 Å, b = 6.788 Å, c = 17.205 Å
α = 90.00°, β = 99.28°, γ = 90.00°
Space group Pc (No. 7)
Inequivalent atoms, fractional coordinates:
Ga  0.000  0.015  0.000 (multiplicity 2)
Mo  0.751  0.420  0.865 (multiplicity 2)
I  0.060  0.177  0.868 (multiplicity 2)
I  0.218  0.123  0.117 (multiplicity 2)
I  0.490  0.352  0.390 (multiplicity 2)
I  0.571  0.172  0.766 (multiplicity 2)
I  0.694  0.177  0.998 (multiplicity 2)
I  0.868  0.351  0.261 (multiplicity 2)
I  0.989  0.368  0.497 (multiplicity 2)

Peak list (8 most intense, 2θ from 10° to 90°, by angle)
2theta  d [Å]  I/Imax  h k l
10.4  8.490  96  0 0 2
11.4  7.729  57  1 0 0
14.2  6.238  72  1 0 -2
22.2  4.004  50  1 0 -4
24.7  3.603  100  1 1 3
26.3  3.386  98  2 1 -1
26.8  3.328  74  0 2 1
30.0  2.978  92  1 1 -5


Entry 3:
Starting from a cell relaxed with GGA-PBE, the powder X-ray diffraction pattern of ScZnCu2 was computed for Cu Kα (λ = 1.5418 Å).
No peak broadening, texture or thermal motion is included.

a = 4.2158 Å, b = 4.2158 Å, c = 7.9787 Å
α = 90.00°, β = 90.00°, γ = 120.00°
Space group P6_3/mmc (No. 194)
Inequivalent atoms, fractional coordinates:
Sc  0.3333  0.6667  0.2500 (multiplicity 2)
Zn  0.0000  0.0000  0.0000 (multiplicity 2)
Cu  0.3333  0.6667  0.5864 (multiplicity 4)

Peak list (8 most intense, 2θ from 10° to 90°, by angle)
2theta  d [Å]  I/Imax  h k l
22.3  3.989  24  0 0 2
33.3  2.693  24  1 0 2
42.0  2.150  82  1 0 3
42.9  2.108  100  1 1 0
48.9  1.864  18  1 1 2
61.6  1.505  24  2 0 3
78.0  1.225  23  2 1 3
78.6  1.217  15  3 0 0


Entry 4:
Starting from a cell relaxed with GGA-PBE, the powder X-ray diffraction pattern of Sm3Fe2 was computed for Cu Kα (λ = 1.5418 Å).
No peak broadening, texture or thermal motion is included.

a = 6.7830 Å, b = 6.7830 Å, c = 18.7545 Å
α = 90.00°, β = 90.00°, γ = 120.00°
Space group R-3c (No. 167, hexagonal axes)
Inequivalent atoms, fractional coordinates:
Sm  0.0000  0.3862  0.2500 (multiplicity 18)
Fe  0.0000  0.0000  0.1906 (multiplicity 12)

Peak list (8 most intense, 2θ from 10° to 90°, by angle)
2theta  d [Å]  I/Imax  h k l
28.6  3.126  22  0 0 6
30.0  2.981  100  1 1 3
31.9  2.803  28  2 0 2
36.1  2.489  10  0 2 4
39.2  2.298  32  1 1 6
40.9  2.205  11  2 1 1
46.4  1.958  23  3 0 0
51.5  1.775  22  1 1 9


Entry 5:
Starting from a cell relaxed with GGA-PBE, the powder X-ray diffraction pattern of NiAg2Sn was computed for Cu Kα (λ = 1.5418 Å).
No peak broadening, texture or thermal motion is included.

a = 6.492 Å, b = 6.492 Å, c = 6.492 Å
α = 90.00°, β = 90.00°, γ = 90.00°
Space group F-43m (No. 216)
Inequivalent atoms, fractional coordinates:
Ni  0.000  0.000  0.000 (multiplicity 4)
Ag  0.000  0.000  0.500 (multiplicity 4)
Ag  0.250  0.250  0.750 (multiplicity 4)
Sn  0.250  0.250  0.250 (multiplicity 4)

Peak list (8 most intense, 2θ from 10° to 90°, by angle)
2theta  d [Å]  I/Imax  h k l
23.7  3.748  3  1 1 1
27.5  3.246  2  2 0 0
39.3  2.295  100  2 2 0
46.4  1.957  2  3 1 1
56.7  1.623  17  4 0 0
64.2  1.452  1  4 2 0
71.1  1.325  33  4 2 2
84.4  1.148  11  4 4 0


Entry 6:
Starting from a cell relaxed with GGA-PBE, the powder X-ray diffraction pattern of PbAuBrO was computed for Cu Kα (λ = 1.5418 Å).
No peak broadening, texture or thermal motion is included.

a = 7.844 Å, b = 3.997 Å, c = 12.862 Å
α = 90.00°, β = 90.00°, γ = 90.00°
Space group Pnma (No. 62)
Inequivalent atoms, fractional coordinates:
Pb  0.197  0.250  0.025 (multiplicity 4)
Au  0.054  0.750  0.785 (multiplicity 4)
Br  0.006  0.750  0.348 (multiplicity 4)
O  0.105  0.750  0.947 (multiplicity 4)

Peak list (8 most intense, 2θ from 10° to 90°, by angle)
2theta  d [Å]  I/Imax  h k l
23.3  3.817  36  0 1 1
26.0  3.432  60  1 1 1
26.6  3.348  100  2 0 2
28.7  3.115  59  1 1 2
32.7  2.739  54  1 1 3
35.0  2.565  70  2 1 2
38.4  2.344  36  2 1 3
41.8  2.163  34  0 1 5